This entry pairs a crystal structure of HfMg6FeO8 with its simulated PXRD pattern. Radiation: Cu Kα, 1.54184 Å. Structure: a cell relaxed with PBE+U.
Lines closer than 0.1° are merged.

Largest 8 diffraction maxima, in order of rising 2θ, 10 to 80 degrees two-theta:
2θ/deg	I/Imax
10.01	100
20.10	25
22.89	29
30.94	35
35.70	46
40.85	32
41.76	60
59.84	37

Atomic structure:
a b c (Å): 4.326 4.326 8.837
angles (deg): 90.00 90.00 90.00
Positions (direct):
Hf: 0.000 0.000 0.000
Mg: 0.000 0.000 0.500
Mg: 0.000 0.500 0.259
Mg: 0.000 0.500 0.741
Mg: 0.500 0.000 0.259
Mg: 0.500 0.000 0.741
Mg: 0.500 0.500 0.500
Fe: 0.500 0.500 0.000
O: 0.000 0.000 0.256
O: 0.000 0.000 0.744
O: 0.000 0.500 0.000
O: 0.000 0.500 0.500
O: 0.500 0.000 0.000
O: 0.500 0.000 0.500
O: 0.500 0.500 0.262
O: 0.500 0.500 0.738